[1]
Simulated X-ray diffraction stick pattern
Compound: NiB3W3
Radiation: λ = 1.5418 Å (Cu Kα)
Structure: DFT lattice parameters and positions (PBE)
Lines closer than 0.1° are merged.

Largest 12 diffraction maxima, sorted by position, 2θ = 10–90°:
26.8°, intensity 29
31.0°, intensity 62
39.1°, intensity 72
39.6°, intensity 100
42.8°, intensity 99
43.7°, intensity 26
45.2°, intensity 55
50.1°, intensity 40
57.5°, intensity 24
68.5°, intensity 27
72.1°, intensity 42
72.3°, intensity 36

Structural model:
abc: 4.5151 4.5151 10.7907
angles: 90.00 90.00 138.42
Element x y z (fractional)
Ni1 0.0000 0.0000 0.0000
Ni2 0.0000 0.0000 0.5000
B1 0.2907 0.7093 0.7500
B2 0.4114 0.5886 0.6043
B3 0.4114 0.5886 0.8957
B4 0.5886 0.4114 0.1043
B5 0.5886 0.4114 0.3957
B6 0.7093 0.2907 0.2500
W1 0.0026 0.9974 0.2500
W2 0.2882 0.7118 0.1085
W3 0.2882 0.7118 0.3915
W4 0.7118 0.2882 0.6085
W5 0.7118 0.2882 0.8915
W6 0.9974 0.0026 0.7500

***

[2]
Simulated X-ray diffraction stick pattern
Compound: H2Pb4SO8
Radiation: λ = 1.5418 Å (Cu Kα)
Structure: DFT lattice parameters and positions (PBE)
Lines closer than 0.1° are merged.

Largest 12 diffraction maxima, sorted by position, 2θ = 10–90°:
15.0°, intensity 43
17.9°, intensity 23
20.4°, intensity 27
24.2°, intensity 24
26.7°, intensity 100
27.8°, intensity 32
28.1°, intensity 72
28.4°, intensity 84
30.3°, intensity 81
31.2°, intensity 37
32.2°, intensity 59
35.1°, intensity 39

Structural model:
abc: 6.4802 7.5973 10.5440
angles: 75.58 79.02 88.15
Element x y z (fractional)
H1 0.0380 0.1656 0.2003
H2 0.3488 0.2567 0.1774
H3 0.6512 0.7433 0.8226
H4 0.9620 0.8344 0.7997
Pb1 0.2589 0.8820 0.4947
Pb2 0.2727 0.3821 0.4746
Pb3 0.2831 0.5191 0.8204
Pb4 0.3207 0.9955 0.8195
Pb5 0.6793 0.0045 0.1805
Pb6 0.7169 0.4809 0.1796
Pb7 0.7273 0.6179 0.5254
Pb8 0.7411 0.1180 0.5053
S1 0.2020 0.7625 0.1743
S2 0.7980 0.2375 0.8257
O1 0.0124 0.2947 0.7431
O2 0.0995 0.7949 0.7595
O3 0.2160 0.9655 0.1282
O4 0.2434 0.6788 0.0593
O5 0.3624 0.5871 0.5933
O6 0.3646 0.6990 0.2616
O7 0.3846 0.1020 0.5876
O8 0.4523 0.2404 0.2359
O9 0.5477 0.7596 0.7641
O10 0.6154 0.8980 0.4124
O11 0.6354 0.3010 0.7384
O12 0.6376 0.4129 0.4067
O13 0.7566 0.3212 0.9407
O14 0.7840 0.0345 0.8718
O15 0.9005 0.2051 0.2405
O16 0.9876 0.7053 0.2569